V5Ga5C: simulated XRD peak list (a wavelength of 1.5418 Å), based on a DFT-relaxed cell (GGA-PBE, Alexandria).
Peak positions follow from Bragg's law for the DFT cell and can differ from measured ones.

Largest 6 diffraction maxima, sorted by position, 2θ = 5–70°:
39.32°, I 907
39.57°, I 1000
42.02°, I 546
43.68°, I 445
51.47°, I 142
62.23°, I 275

Structural model:
```
V5Ga5C
1.0
4.6363 -2.0724 0.0000
4.6363 2.0724 0.0000
-1.3118 0.0000 8.2315
V Ga C
5 5 1
Cartesian
0.0000 0.0000 0.0000 V
2.6808 0.0000 0.6116 V
2.7504 0.0000 6.3722 V
5.2103 0.0000 1.8593 V
5.2799 0.0000 7.6199 V
0.1295 0.0000 6.1246 Ga
1.3036 0.0000 3.1537 Ga
3.9803 0.0000 4.1157 Ga
6.6571 0.0000 5.0777 Ga
7.8312 0.0000 2.1069 Ga
4.6363 0.0000 0.0000 C
```

InAg23Au6: simulated XRD peak list (a wavelength of 1.5418 Å), based on a DFT-relaxed cell (GGA-PBE, Alexandria).
Peak positions follow from Bragg's law for the DFT cell and can differ from measured ones.

Largest 6 diffraction maxima, sorted by position, 2θ = 5–70°:
18.56°, I 58
37.64°, I 1000
43.49°, I 164
43.86°, I 322
63.48°, I 205
63.76°, I 102

Structural model:
```
InAg23Au6
1.0
-4.1283 4.1283 8.3232
4.1283 -4.1283 8.3232
4.1283 4.1283 -8.3232
In Ag Au
1 23 6
Cartesian
0.0000 0.0000 0.0000 In
2.0642 2.0642 -4.1616 Ag
2.0642 -2.0642 4.1616 Ag
4.1283 0.0000 0.0000 Ag
4.1283 2.0580 -2.1011 Ag
4.1283 -2.0209 6.1861 Ag
2.1074 0.0000 2.1371 Ag
6.1492 0.0000 2.1371 Ag
2.0580 4.1283 -2.1011 Ag
2.0703 0.0000 6.2221 Ag
4.1283 2.0580 2.1011 Ag
0.0000 2.1074 2.1371 Ag
-2.0642 2.0642 4.1616 Ag
0.0000 4.1283 0.0000 Ag
0.0000 0.0000 8.3232 Ag
2.0642 2.0642 4.1616 Ag
4.1283 2.0209 6.1861 Ag
0.0000 2.0703 6.2221 Ag
2.0580 4.1283 2.1011 Ag
2.0703 0.0000 10.4243 Ag
-2.0209 4.1283 6.1861 Ag
2.0209 4.1283 6.1861 Ag
0.0000 6.1492 2.1371 Ag
0.0000 2.0703 10.4243 Ag
0.0000 0.0000 4.1650 Au
2.0676 2.0676 0.0000 Au
2.0607 -2.0607 8.3232 Au
-2.0607 2.0607 8.3232 Au
0.0000 0.0000 12.4814 Au
2.0607 2.0607 8.3232 Au
```

Rb2In2F7: simulated XRD peak list (a wavelength of 1.5418 Å), based on a DFT-relaxed cell (GGA-PBE, Alexandria).
Peak positions follow from Bragg's law for the DFT cell and can differ from measured ones.

Largest 6 diffraction maxima, sorted by position, 2θ = 5–70°:
20.48°, I 1000
21.64°, I 441
25.63°, I 350
28.72°, I 288
40.23°, I 312
48.18°, I 282

Structural model:
```
Rb2In2F7
1.0
3.7216 -5.9397 0.0000
3.7216 5.9397 0.0000
-1.2890 0.0000 6.3493
Rb In F
2 2 7
Cartesian
3.7216 3.6988 0.0000 Rb
3.7216 -3.6988 0.0000 Rb
1.0233 0.0000 3.8669 In
5.1309 0.0000 2.4824 In
-0.0448 0.0000 1.9653 F
1.0979 1.7434 4.9817 F
1.0979 -1.7434 4.9817 F
3.0771 0.0000 3.1747 F
5.0562 1.7434 1.3676 F
5.0562 -1.7434 1.3676 F
6.1989 0.0000 4.3840 F
```

Tl3Hg2Pb2: simulated XRD peak list (a wavelength of 1.5418 Å), based on a DFT-relaxed cell (GGA-PBE, Alexandria).
Peak positions follow from Bragg's law for the DFT cell and can differ from measured ones.

Largest 6 diffraction maxima, sorted by position, 2θ = 5–70°:
29.59°, I 1000
32.49°, I 333
35.17°, I 951
48.63°, I 289
59.71°, I 354
63.12°, I 219

Structural model:
```
Tl3Hg2Pb2
1.0
-4.7731 4.7731 4.7731
4.7731 -4.7731 4.7731
4.7731 4.7731 -4.7731
Tl Hg Pb
6 4 4
Cartesian
4.7731 -2.3866 4.1227 Tl
4.1227 4.7731 -2.3866 Tl
4.7731 2.3866 0.6505 Tl
2.3866 0.6505 4.7731 Tl
0.6505 4.7731 2.3866 Tl
-2.3866 4.1227 4.7731 Tl
2.8599 1.9133 -1.9133 Hg
1.9133 -1.9133 2.8599 Hg
1.9133 1.9133 1.9133 Hg
-1.9133 2.8599 1.9133 Hg
5.7087 -0.9356 0.9356 Pb
0.9356 5.7087 -0.9356 Pb
-0.9356 0.9356 5.7087 Pb
3.8376 3.8376 3.8376 Pb
```

What is the formula in the third record?
Rb2In2F7